The following is a calculated PXRD pattern of Mg6WC. It was derived from the GGA-PBE geometry in the Materials Project, using a wavelength of 1.5418 Å.
Peak positions follow from Bragg's law for the DFT cell and can differ from measured ones.

The 10 most intense peaks (5 to 70 degrees two-theta), most intense first:
2θ/deg  intensity
18.33  100
41.75  71
26.05  66
37.18  54
38.33  47
16.49  37
35.31  33
24.78  22
29.89  22
53.59  19

Cell and atoms:
Cell: 4.832 5.423 10.749 Å, 90.00 90.00 90.00°
Sites, in units of the cell vectors:
Mg1 0.000 0.000 0.000
Mg2 0.000 0.000 0.482
Mg3 0.000 0.243 0.754
Mg4 0.000 0.257 0.254
Mg5 0.000 0.500 0.500
Mg6 0.000 0.500 0.982
Mg7 0.000 0.743 0.254
Mg8 0.000 0.757 0.754
Mg9 0.500 0.249 0.106
Mg10 0.500 0.251 0.606
Mg11 0.500 0.749 0.606
Mg12 0.500 0.751 0.106
W1 0.500 0.000 0.857
W2 0.500 0.500 0.357
C1 0.500 0.000 0.344
C2 0.500 0.500 0.844

=====

The following is a calculated PXRD pattern of Ce3Cr. It was derived from the GGA-PBE geometry in the Materials Project, using a wavelength of 1.5418 Å.
Peak positions follow from Bragg's law for the DFT cell and can differ from measured ones.

The 10 most intense peaks (5 to 70 degrees two-theta), most intense first:
2θ/deg  intensity
35.25  100
43.25  28
57.43  24
35.91  24
64.11  17
23.04  9
62.82  9
17.73  4
34.39  3
49.57  3

Cell and atoms:
Cell: 4.184 4.184 10.004 Å, 90.00 90.00 90.00°
Sites, in units of the cell vectors:
Ce1 0.000 0.000 0.000
Ce2 0.000 0.500 0.250
Ce3 0.000 0.500 0.750
Ce4 0.500 0.000 0.250
Ce5 0.500 0.000 0.750
Ce6 0.500 0.500 0.500
Cr1 0.000 0.000 0.500
Cr2 0.500 0.500 0.000

=====

The following is a calculated PXRD pattern of Mg7Cu. It was derived from the GGA-PBE geometry in the Materials Project, using a wavelength of 1.5418 Å.
Peak positions follow from Bragg's law for the DFT cell and can differ from measured ones.

The 10 most intense peaks (5 to 70 degrees two-theta), most intense first:
2θ/deg  intensity
38.04  100
35.84  26
33.39  26
65.87  18
16.52  18
59.69  16
49.79  16
24.30  11
34.02  5
48.41  5

Cell and atoms:
Cell: 6.197 6.197 5.011 Å, 90.00 90.00 120.00°
Sites, in units of the cell vectors:
Mg1 0.000 0.000 0.000
Mg2 0.166 0.332 0.500
Mg3 0.166 0.834 0.500
Mg4 0.505 0.010 0.000
Mg5 0.505 0.495 0.000
Mg6 0.668 0.834 0.500
Mg7 0.990 0.495 0.000
Cu1 0.667 0.333 0.500

=====

The following is a calculated PXRD pattern of SrMg3GeN4. It was derived from the GGA-PBE geometry in the Materials Project, using a wavelength of 1.5418 Å.
Peak positions follow from Bragg's law for the DFT cell and can differ from measured ones.

The 10 most intense peaks (5 to 70 degrees two-theta), most intense first:
2θ/deg  intensity
35.54  100
35.63  83
14.81  59
33.47  55
33.38  52
61.03  37
61.26  31
65.25  30
28.43  27
20.94  22

Cell and atoms:
Cell: 6.214 6.214 8.464 Å, 132.65 132.65 31.56°
Sites, in units of the cell vectors:
Sr1 0.000 0.000 0.000
Mg1 0.189 0.189 0.810
Mg2 0.636 0.636 0.449
Mg3 0.829 0.829 0.177
Ge1 0.372 0.372 0.562
N1 0.262 0.262 0.647
N2 0.411 0.411 0.144
N3 0.585 0.585 0.808
N4 0.787 0.787 0.379

=====

The following is a calculated PXRD pattern of MgCu10P6O26. It was derived from the GGA-PBE geometry in the Materials Project, using a wavelength of 1.5418 Å.
Peak positions follow from Bragg's law for the DFT cell and can differ from measured ones.

The 10 most intense peaks (5 to 70 degrees two-theta), most intense first:
2θ/deg  intensity
33.53  100
10.80  99
25.82  79
28.56  78
28.38  74
27.60  70
13.48  56
8.54  56
32.79  49
32.00  46

Cell and atoms:
Cell: 6.244 8.202 10.362 Å, 87.46 89.90 89.73°
Sites, in units of the cell vectors:
Mg1 0.000 0.000 0.000
Cu1 0.002 0.530 0.997
Cu2 0.235 0.530 0.713
Cu3 0.253 0.792 0.193
Cu4 0.477 0.899 0.487
Cu5 0.485 0.114 0.094
Cu6 0.493 0.828 0.885
Cu7 0.717 0.793 0.187
Cu8 0.718 0.531 0.718
Cu9 0.974 0.244 0.764
Cu10 0.978 0.458 0.407
P1 0.476 0.167 0.730
P2 0.477 0.535 0.450
P3 0.482 0.518 0.050
P4 0.977 0.821 0.799
P5 0.978 0.819 0.434
P6 0.983 0.198 0.172
O1 0.174 0.922 0.461
O2 0.179 0.073 0.150
O3 0.182 0.763 0.733
O4 0.269 0.574 0.118
O5 0.276 0.288 0.733
O6 0.281 0.434 0.419
O7 0.471 0.059 0.858
O8 0.476 0.708 0.377
O9 0.477 0.573 0.601
O10 0.478 0.069 0.611
O11 0.482 0.334 0.039
O12 0.482 0.879 0.090
O13 0.484 0.597 0.909
O14 0.673 0.286 0.735
O15 0.676 0.434 0.419
O16 0.685 0.573 0.124
O17 0.761 0.769 0.742
O18 0.779 0.921 0.458
O19 0.794 0.070 0.143
O20 0.977 0.269 0.301
O21 0.977 0.648 0.508
O22 0.980 0.477 0.806
O23 0.981 0.010 0.810
O24 0.982 0.775 0.283
O25 0.984 0.304 0.044
O26 0.985 0.768 0.950

=====

The following is a calculated PXRD pattern of Pu2I2O. It was derived from the GGA-PBE geometry in the Materials Project, using a wavelength of 1.5418 Å.
Peak positions follow from Bragg's law for the DFT cell and can differ from measured ones.

The 10 most intense peaks (5 to 70 degrees two-theta), most intense first:
2θ/deg  intensity
23.23  100
5.90  76
33.09  41
33.48  39
23.77  23
41.15  22
53.52  21
59.35  16
11.82  15
23.99  15

Cell and atoms:
Cell: 3.829 3.829 14.976 Å, 90.00 90.00 90.00°
Sites, in units of the cell vectors:
Pu1 0.000 0.000 0.135
Pu2 0.000 0.000 0.865
I1 0.000 0.000 0.325
I2 0.000 0.000 0.675
O1 0.000 0.000 0.000

=====

The following is a calculated PXRD pattern of Li2NbO3. It was derived from the GGA-PBE geometry in the Materials Project, using a wavelength of 1.5418 Å.
Peak positions follow from Bragg's law for the DFT cell and can differ from measured ones.

The 10 most intense peaks (5 to 70 degrees two-theta), most intense first:
2θ/deg  intensity
20.41  100
43.27  50
27.33  50
41.15  29
22.62  26
36.20  20
20.05  17
60.35  17
39.49  16
62.12  15

Cell and atoms:
Cell: 5.184 5.184 5.205 Å, 101.21 101.21 117.39°
Sites, in units of the cell vectors:
Li1 0.080 0.920 0.750
Li2 0.237 0.763 0.250
Li3 0.763 0.237 0.750
Li4 0.920 0.080 0.250
Nb1 0.416 0.584 0.750
Nb2 0.584 0.416 0.250
O1 0.000 0.500 0.500
O2 0.179 0.340 0.996
O3 0.340 0.179 0.496
O4 0.500 0.000 0.000
O5 0.660 0.821 0.504
O6 0.821 0.660 0.004